Entry 1:
This entry pairs a crystal structure of Er8Cd2Ag with its theoretical X-ray diffraction stick pattern. Radiation: λ = 1.5418 Å (Cu Kα). Structure: the GGA-PBE geometry in Alexandria.

Crystal structure
Lattice parameters (Å, degrees): 17.7317 5.2121 6.9654 90.00 107.38 90.00
Space group C2/m (No. 12)
Inequivalent atoms, fractional coordinates:
Er 0.0231 0.0000 0.2708 (multiplicity 4)
Er 0.0921 0.5000 0.9527 (multiplicity 4)
Er 0.1614 0.5000 0.4603 (multiplicity 4)
Er 0.1959 0.0000 0.7943 (multiplicity 4)
Cd 0.1864 0.0000 0.2130 (multiplicity 4)
Ag 0.0000 0.5000 0.5000 (multiplicity 2)

The 10 most intense peaks (2θ = 15–90°), sorted by position:
- (3 1 1), d 3.060, 29.19°, intensity 31
- (5 1 -1), d 2.884, 31.00°, intensity 100
- (5 1 0), d 2.838, 31.52°, intensity 49
- (6 0 0), d 2.820, 31.73°, intensity 22
- (3 1 -2), d 2.807, 31.88°, intensity 21
- (1 1 2), d 2.659, 33.71°, intensity 69
- (0 2 0), d 2.606, 34.41°, intensity 70
- (5 1 -2), d 2.488, 36.10°, intensity 31
- (9 1 -3), d 1.621, 56.80°, intensity 22
- (1 3 2), d 1.515, 61.19°, intensity 19

***

Entry 2:
This entry pairs a crystal structure of La2TlP2N6 with its theoretical X-ray diffraction stick pattern. Radiation: λ = 1.5418 Å (Cu Kα). Structure: the GGA-PBE geometry in Alexandria.

Crystal structure
Lattice parameters (Å, degrees): 6.5341 6.5395 6.7963 64.59 64.66 62.63
Space group P-1 (No. 2)
Inequivalent atoms, fractional coordinates:
La 0.1799 0.1797 0.1974 (multiplicity 2)
Tl 0.5000 0.5000 0.5000 (multiplicity 1)
P 0.1588 0.1598 0.7524 (multiplicity 2)
N 0.0118 0.3985 0.8277 (multiplicity 2)
N 0.0731 0.0741 0.6263 (multiplicity 2)
N 0.3985 0.0136 0.8267 (multiplicity 2)

The 10 most intense peaks (2θ = 15–90°), sorted by position:
- (1 1 1), d 5.237, 16.93°, intensity 100
- (1 0 -1), d 3.559, 25.02°, intensity 75
- (1 -1 0), d 3.397, 26.23°, intensity 65
- (1 0 2), d 2.978, 30.01°, intensity 77
- (1 2 0), d 2.910, 30.72°, intensity 92
- (2 0 1), d 2.850, 31.38°, intensity 48
- (2 1 3), d 2.134, 42.35°, intensity 27
- (1 1 -2), d 2.090, 43.29°, intensity 29
- (3 1 2), d 2.074, 43.64°, intensity 26
- (0 3 0), d 1.853, 49.18°, intensity 21

***

Entry 3:
This entry pairs a crystal structure of CsSr2LaI8 with its theoretical X-ray diffraction stick pattern. Radiation: λ = 1.5418 Å (Cu Kα). Structure: the GGA-PBE geometry in Alexandria.

Crystal structure
Lattice parameters (Å, degrees): 7.6172 7.9620 10.3235 89.97 89.95 89.79
Space group P-1 (No. 2)
Inequivalent atoms, fractional coordinates:
Cs 0.0000 0.0000 0.0000 (multiplicity 1)
Sr 0.5000 0.5001 0.2493 (multiplicity 2)
La 0.0000 0.0000 0.5000 (multiplicity 1)
I 0.2501 0.8394 0.7101 (multiplicity 2)
I 0.2506 0.8401 0.2897 (multiplicity 2)
I 0.2552 0.3315 0.5002 (multiplicity 2)
I 0.2622 0.3905 0.0003 (multiplicity 2)

The 10 most intense peaks (2θ = 15–90°), sorted by position:
- (1 1 0), d 5.506, 16.10°, intensity 46
- (1 0 -2), d 4.273, 20.79°, intensity 21
- (1 -1 2), d 3.764, 23.64°, intensity 100
- (1 2 0), d 3.529, 25.23°, intensity 62
- (1 2 2), d 2.917, 30.65°, intensity 22
- (2 1 2), d 2.860, 31.27°, intensity 84
- (0 0 4), d 2.581, 34.76°, intensity 24
- (0 3 -2), d 2.360, 38.13°, intensity 38
- (3 1 -2), d 2.191, 41.19°, intensity 17
- (1 2 -4), d 2.083, 43.44°, intensity 17

***

Entry 4:
This entry pairs a crystal structure of CeTh3O8 with its theoretical X-ray diffraction stick pattern. Radiation: λ = 1.5418 Å (Cu Kα). Structure: the GGA-PBE geometry in Alexandria.

Crystal structure
Lattice parameters (Å, degrees): 7.8933 11.1641 3.9494 90.00 90.00 90.00
Space group Cmmm (No. 65)
Inequivalent atoms, fractional coordinates:
Ce 0.0000 0.0000 0.0000 (multiplicity 2)
Th 0.0000 0.5000 0.0000 (multiplicity 2)
Th 0.2500 0.2500 0.5000 (multiplicity 4)
O 0.0000 0.1228 0.5000 (multiplicity 4)
O 0.0000 0.3747 0.5000 (multiplicity 4)
O 0.2475 0.1241 0.0000 (multiplicity 8)

The 10 most intense peaks (2θ = 15–90°), sorted by position:
- (1 3 0), d 3.367, 26.47°, intensity 2
- (2 2 0), d 3.223, 27.68°, intensity 100
- (2 0 1), d 2.791, 32.06°, intensity 36
- (4 0 0), d 1.974, 45.98°, intensity 51
- (4 2 1), d 1.683, 54.51°, intensity 47
- (4 4 0), d 1.612, 57.15°, intensity 10
- (4 0 2), d 1.396, 67.06°, intensity 8
- (6 2 0), d 1.281, 74.01°, intensity 19
- (6 0 1), d 1.248, 76.27°, intensity 14
- (6 4 1), d 1.140, 85.14°, intensity 17

***

Entry 5:
This entry pairs a crystal structure of KHgW with its theoretical X-ray diffraction stick pattern. Radiation: λ = 1.5418 Å (Cu Kα). Structure: the GGA-PBE geometry in Alexandria.

Crystal structure
Lattice parameters (Å, degrees): 3.3010 4.6840 17.2437 90.00 90.00 90.00
Space group Fmm2 (No. 42)
Inequivalent atoms, fractional coordinates:
K 0.0000 0.0000 0.0000 (multiplicity 4)
Hg 0.0000 0.0000 0.3232 (multiplicity 4)
W 0.0000 0.0000 0.6759 (multiplicity 4)

The 10 most intense peaks (2θ = 15–90°), sorted by position:
- (0 0 6), d 2.874, 31.12°, intensity 36
- (1 1 1), d 2.666, 33.62°, intensity 13
- (1 1 3), d 2.443, 36.80°, intensity 100
- (0 2 0), d 2.342, 38.44°, intensity 23
- (1 1 5), d 2.125, 42.54°, intensity 23
- (0 2 6), d 1.816, 50.25°, intensity 19
- (1 1 9), d 1.562, 59.14°, intensity 20
- (1 3 3), d 1.371, 68.45°, intensity 16
- (1 1 11), d 1.355, 69.33°, intensity 10
- (2 2 6), d 1.221, 78.28°, intensity 10

***

Entry 6:
This entry pairs a crystal structure of Th4CSe3 with its theoretical X-ray diffraction stick pattern. Radiation: λ = 1.5418 Å (Cu Kα). Structure: the GGA-PBE geometry in Alexandria.

Crystal structure
Lattice parameters (Å, degrees): 8.4600 11.6790 4.0082 90.00 90.00 90.00
Space group Cmmm (No. 65)
Inequivalent atoms, fractional coordinates:
Th 0.0000 0.2283 0.0000 (multiplicity 4)
Th 0.2124 0.0000 0.5000 (multiplicity 4)
C 0.0000 0.0000 0.0000 (multiplicity 2)
Se 0.0000 0.5000 0.0000 (multiplicity 2)
Se 0.2500 0.2500 0.5000 (multiplicity 4)

The 10 most intense peaks (2θ = 15–90°), sorted by position:
- (2 2 0), d 3.426, 26.01°, intensity 41
- (0 2 1), d 3.305, 26.98°, intensity 45
- (0 4 0), d 2.920, 30.62°, intensity 49
- (2 0 1), d 2.909, 30.73°, intensity 100
- (1 3 1), d 2.652, 33.80°, intensity 16
- (4 0 0), d 2.115, 42.75°, intensity 16
- (2 4 1), d 2.061, 43.93°, intensity 67
- (0 0 2), d 2.004, 45.25°, intensity 19
- (0 4 2), d 1.652, 55.62°, intensity 19
- (2 4 3), d 1.168, 82.64°, intensity 17